Diffraction record for NaNiO2. The powder diffractogram is calculated, not measured: it uses a crystal structure in the Materials Project, relaxed with GGA+U and Cu Kα X-rays.
No peak broadening, texture or thermal motion is included.

Main lines, by angle (10° ≤ 2θ ≤ 90°):
index, d_spacing, I/Imax
0 0 1, 5.283, 100
0 0 2, 2.642, 25
0 1 1, 2.529, 20
1 1 0, 2.428, 32
0 1 -1, 2.276, 59
1 0 -1, 2.121, 44
1 1 2, 2.115, 43
1 2 1, 1.527, 28

Crystal structure
Unit cell a=2.8704 b=3.0632 c=5.5138 alpha=76.61 beta=75.11 gamma=62.07
Atoms (fractional coordinates):
Na (0.0000, 0.0000, 0.0000)
Ni (0.5000, 0.5000, 0.5000)
O (0.2104, 0.2740, 0.3023)
O (0.7896, 0.7260, 0.6977)